No. 1
This entry pairs a crystal structure of TbMn2 with its computed X-ray powder pattern. Radiation: Cu Ka. Structure: a cell relaxed with PBE.
Neutral-atom scattering factors, no anomalous dispersion.

Structural model:
```
data_TbMn2
_chemical_formula_sum 'Tb4 Mn8'
_symmetry_space_group_name_H-M 'P 63/m m c'
_symmetry_Int_Tables_number 194
_symmetry_space_group_name_Hall '-P 6c 2c'
_cell_length_a 5.3765
_cell_length_b 5.3765
_cell_length_c 8.1741
_cell_angle_alpha 90.00
_cell_angle_beta 90.00
_cell_angle_gamma 120.00
loop_
_atom_site_label
_atom_site_fract_x
_atom_site_fract_y
_atom_site_fract_z
Tb1 0.3333 0.6667 0.0591
Mn1 0.0000 0.0000 0.0000
Mn2 0.1646 0.3293 0.7500
```

Principal peaks in the range 2θ = 5–70°, by angle:
| 2theta | I_rel | hkl |
| --- | --- | --- |
| 33.3 | 70 | 1 1 0 |
| 38.3 | 83 | 1 0 3 |
| 40.1 | 100 | 1 1 2 |
| 40.3 | 50 | 2 0 1 |
| 62.9 | 39 | 2 1 3 |
| 64.2 | 24 | 3 0 2 |


No. 2
This entry pairs a crystal structure of Li2InPb with its computed X-ray powder pattern. Radiation: Cu Ka. Structure: a cell relaxed with PBE.
Neutral-atom scattering factors, no anomalous dispersion.

Structural model:
```
data_Li2InPb
_chemical_formula_sum 'Li8 In4 Pb4'
_symmetry_space_group_name_H-M 'F m -3 m'
_symmetry_Int_Tables_number 225
_symmetry_space_group_name_Hall '-F 4 2 3'
_cell_length_a 6.938
_cell_length_b 6.938
_cell_length_c 6.938
_cell_angle_alpha 90.00
_cell_angle_beta 90.00
_cell_angle_gamma 90.00
loop_
_atom_site_label
_atom_site_fract_x
_atom_site_fract_y
_atom_site_fract_z
Li1 0.250 0.250 0.250
In1 0.000 0.000 0.000
Pb1 0.000 0.000 0.500
```

Principal peaks in the range 2θ = 5–70°, by angle:
| 2theta | I_rel | hkl |
| --- | --- | --- |
| 25.7 | 100 | 2 0 0 |
| 36.6 | 91 | 2 2 0 |
| 45.3 | 30 | 2 2 2 |
| 52.8 | 16 | 4 0 0 |
| 59.6 | 39 | 4 2 0 |
| 66.0 | 33 | 4 2 2 |


No. 3
This entry pairs a crystal structure of HoGaAg with its computed X-ray powder pattern. Radiation: Cu Ka. Structure: a cell relaxed with PBE.
Neutral-atom scattering factors, no anomalous dispersion.

Structural model:
```
data_HoGaAg
_chemical_formula_sum 'Ho4 Ga4 Ag4'
_symmetry_space_group_name_H-M 'C 1 2/m 1'
_symmetry_Int_Tables_number 12
_symmetry_space_group_name_Hall '-C 2y'
_cell_length_a 10.505
_cell_length_b 4.574
_cell_length_c 7.158
_cell_angle_alpha 90.00
_cell_angle_beta 132.08
_cell_angle_gamma 90.00
loop_
_atom_site_label
_atom_site_fract_x
_atom_site_fract_y
_atom_site_fract_z
Ho1 0.036 0.000 0.291
Ga1 0.160 0.500 0.115
Ag1 0.173 0.500 0.722
```

Principal peaks in the range 2θ = 5–70°, by angle:
| 2theta | I_rel | hkl |
| --- | --- | --- |
| 32.5 | 36 | 1 1 1 |
| 33.7 | 100 | 0 0 2 |
| 33.9 | 94 | 3 1 -2 |
| 34.3 | 30 | 4 0 -2 |
| 39.4 | 69 | 0 2 0 |
| 39.9 | 85 | 3 1 0 |